No. 1
This entry pairs a crystal structure of Sr2Zn2Hg with its calculated powder diffractogram. Radiation: a wavelength of 1.5418 Å. Structure: a PBE-relaxed structure.
Peak positions follow from Bragg's law for the DFT cell and can differ from measured ones.

Most intense lines, 2θ from 10° to 90°, low angle first:
7.525 Å, intensity 46, hkl 0 0 2
3.027 Å, intensity 100, hkl 1 1 1
2.791 Å, intensity 48, hkl 1 0 4
2.631 Å, intensity 59, hkl 1 1 3
2.521 Å, intensity 71, hkl 0 1 5
2.306 Å, intensity 33, hkl 0 2 0
1.778 Å, intensity 25, hkl 1 2 4
1.605 Å, intensity 35, hkl 2 1 5

Atomic structure:
abc: 4.1629 4.6124 15.0495
angles: 90.00 90.00 90.00
Space group Amm2 (No. 38)
Inequivalent atoms, fractional coordinates:
Sr  0.0000  0.0000  0.0000 x2
Sr  0.0000  0.0000  0.2437 x2
Zn  0.5000  0.0000  0.6282 x2
Zn  0.5000  0.0000  0.8135 x2
Hg  0.5000  0.0000  0.4224 x2


No. 2
This entry pairs a crystal structure of Pr7TlSe5 with its calculated powder diffractogram. Radiation: a wavelength of 1.5418 Å. Structure: a PBE-relaxed structure.
Peak positions follow from Bragg's law for the DFT cell and can differ from measured ones.

Most intense lines, 2θ from 10° to 90°, low angle first:
3.240 Å, intensity 71, hkl 2 0 7
3.060 Å, intensity 100, hkl 3 1 2
2.956 Å, intensity 62, hkl 3 1 -3
2.907 Å, intensity 23, hkl 2 0 8
2.327 Å, intensity 29, hkl 1 1 -9
2.135 Å, intensity 51, hkl 6 0 5
2.124 Å, intensity 35, hkl 0 2 0
1.776 Å, intensity 25, hkl 2 2 7

Atomic structure:
abc: 14.1069 4.2480 25.5340
angles: 90.00 90.04 90.00
Space group C2/m (No. 12)
Inequivalent atoms, fractional coordinates:
Pr  0.0216  0.0000  0.2501 x4
Pr  0.0900  0.5000  0.3895 x4
Pr  0.0906  0.5000  0.1107 x4
Pr  0.1373  0.0000  0.5362 x4
Pr  0.1371  0.0000  0.9637 x4
Pr  0.1834  0.5000  0.6757 x4
Pr  0.1828  0.5000  0.8244 x4
Tl  0.1941  0.5000  0.2497 x4
Se  0.0000  0.5000  0.0000 x2
Se  0.0000  0.5000  0.5000 x2
Se  0.0483  0.0000  0.8587 x4
Se  0.0488  0.0000  0.6413 x4
Se  0.2252  0.0000  0.0709 x4
Se  0.2250  0.0000  0.4290 x4


No. 3
This entry pairs a crystal structure of RbCaTlSiTeF with its calculated powder diffractogram. Radiation: a wavelength of 1.5418 Å. Structure: a PBE-relaxed structure.
Peak positions follow from Bragg's law for the DFT cell and can differ from measured ones.

Most intense lines, 2θ from 10° to 90°, low angle first:
8.406 Å, intensity 70, hkl 0 0 1
4.729 Å, intensity 33, hkl 0 1 1
3.633 Å, intensity 63, hkl 0 1 -2
3.518 Å, intensity 100, hkl -1 1 1
3.315 Å, intensity 42, hkl 0 1 2
2.768 Å, intensity 24, hkl 1 1 -1
2.556 Å, intensity 49, hkl 1 -2 1
2.500 Å, intensity 37, hkl 1 0 -3

Atomic structure:
abc: 3.7900 6.4266 8.6524
angles: 91.58 102.53 107.08
Space group P1 (No. 1)
Inequivalent atoms, fractional coordinates:
Rb  0.0000  0.0000  0.0000 x1
Ca  0.1119  0.6203  0.6048 x1
Tl  0.8082  0.0851  0.5363 x1
Si  0.5183  0.7548  0.2841 x1
Te  0.8490  0.4505  0.2481 x1
F  0.7020  0.6613  0.7456 x1


No. 4
This entry pairs a crystal structure of Sr3RuO6 with its calculated powder diffractogram. Radiation: a wavelength of 1.5418 Å. Structure: a PBE-relaxed structure.
Peak positions follow from Bragg's law for the DFT cell and can differ from measured ones.

Most intense lines, 2θ from 10° to 90°, low angle first:
3.828 Å, intensity 40, hkl 0 0 3
3.436 Å, intensity 45, hkl 2 0 2
3.120 Å, intensity 100, hkl 2 1 1
3.029 Å, intensity 43, hkl 1 1 3
2.823 Å, intensity 83, hkl 3 -2 2
2.198 Å, intensity 32, hkl 3 1 2
2.149 Å, intensity 55, hkl 2 1 4
1.872 Å, intensity 41, hkl 1 4 0

Atomic structure:
abc: 9.9042 9.9042 11.4837
angles: 90.00 90.00 120.00
Space group R-3 (No. 148, hexagonal axes)
Inequivalent atoms, fractional coordinates:
Sr  0.0415  0.2690  0.2027 x18
Ru  0.0000  0.0000  0.0000 x3
Ru  0.0000  0.0000  0.5000 x3
O  0.0260  0.1770  0.4059 x18
O  0.0266  0.1734  0.9011 x18


No. 5
This entry pairs a crystal structure of CsH4Cl3 with its calculated powder diffractogram. Radiation: a wavelength of 1.5418 Å. Structure: a PBE-relaxed structure.
Peak positions follow from Bragg's law for the DFT cell and can differ from measured ones.

Most intense lines, 2θ from 10° to 90°, low angle first:
6.165 Å, intensity 55, hkl 0 0 1
5.186 Å, intensity 45, hkl 2 0 0
4.169 Å, intensity 100, hkl 1 1 -1
2.995 Å, intensity 64, hkl 3 1 -1
2.938 Å, intensity 28, hkl 3 1 0
2.814 Å, intensity 28, hkl 1 1 -2
2.788 Å, intensity 29, hkl 0 2 0
2.406 Å, intensity 22, hkl 3 1 1

Atomic structure:
abc: 10.9734 5.5764 6.5227
angles: 90.00 109.07 90.00
Space group C2/m (No. 12)
Inequivalent atoms, fractional coordinates:
Cs  0.0000  0.0000  0.0000 x2
H  0.1773  0.0000  0.5610 x4
H  0.2318  0.0000  0.5149 x4
Cl  0.0000  0.5000  0.5000 x2
Cl  0.1483  0.5000  0.8451 x4


No. 6
This entry pairs a crystal structure of Ag2AsSe2 with its calculated powder diffractogram. Radiation: a wavelength of 1.5418 Å. Structure: a PBE-relaxed structure.
Peak positions follow from Bragg's law for the DFT cell and can differ from measured ones.

Most intense lines, 2θ from 10° to 90°, low angle first:
3.241 Å, intensity 45, hkl 2 1 1
3.231 Å, intensity 16, hkl 0 2 0
2.900 Å, intensity 100, hkl 2 1 -2
2.764 Å, intensity 16, hkl 2 0 2
2.661 Å, intensity 27, hkl 2 2 0
2.129 Å, intensity 21, hkl 3 1 2
1.878 Å, intensity 18, hkl 5 0 0
1.816 Å, intensity 15, hkl 1 3 2

Atomic structure:
abc: 9.5092 6.4615 7.8031
angles: 90.00 99.34 90.00
Space group P2_1/c (No. 14)
Inequivalent atoms, fractional coordinates:
Ag  0.0327  0.2122  0.4247 x4
Ag  0.4043  0.7144  0.0220 x4
As  0.2551  0.0641  0.0708 x4
Se  0.1623  0.6117  0.8110 x4
Se  0.4004  0.1603  0.7146 x4


No. 7
This entry pairs a crystal structure of Pm6Y4Th with its calculated powder diffractogram. Radiation: a wavelength of 1.5418 Å. Structure: a PBE-relaxed structure.
Peak positions follow from Bragg's law for the DFT cell and can differ from measured ones.

Most intense lines, 2θ from 10° to 90°, low angle first:
3.114 Å, intensity 18, hkl 2 2 0
3.040 Å, intensity 100, hkl 2 1 2
2.997 Å, intensity 23, hkl 1 0 3
2.785 Å, intensity 81, hkl 3 1 0
2.477 Å, intensity 30, hkl 2 1 3
1.970 Å, intensity 15, hkl 4 2 0
1.814 Å, intensity 16, hkl 3 1 4
1.548 Å, intensity 20, hkl 5 2 2

Atomic structure:
abc: 8.8083 8.8083 9.5599
angles: 90.00 90.00 90.00
Space group P4/mnc (No. 128)
Inequivalent atoms, fractional coordinates:
Pm  0.0000  0.0000  0.1686 x4
Pm  0.1450  0.3502  0.0000 x8
Y  0.1494  0.6494  0.2500 x8
Th  0.0000  0.0000  0.5000 x2


No. 8
This entry pairs a crystal structure of TbCeAg4 with its calculated powder diffractogram. Radiation: a wavelength of 1.5418 Å. Structure: a PBE-relaxed structure.
Peak positions follow from Bragg's law for the DFT cell and can differ from measured ones.

Most intense lines, 2θ from 10° to 90°, low angle first:
2.673 Å, intensity 100, hkl 1 1 -2
2.462 Å, intensity 39, hkl 2 0 2
2.448 Å, intensity 39, hkl 4 0 -2
2.400 Å, intensity 73, hkl 3 1 0
1.944 Å, intensity 19, hkl 2 0 -4
1.840 Å, intensity 16, hkl 0 2 0
1.514 Å, intensity 16, hkl 1 1 4
1.507 Å, intensity 16, hkl 5 1 -4

Atomic structure:
abc: 10.2398 3.6810 7.7765
angles: 90.00 111.99 90.00
Space group C2/m (No. 12)
Inequivalent atoms, fractional coordinates:
Tb  0.0000  0.0000  0.0000 x2
Ce  0.0000  0.0000  0.5000 x2
Ag  0.1719  0.5000  0.3268 x4
Ag  0.1732  0.5000  0.8436 x4


No. 9
This entry pairs a crystal structure of PaTi2NiN4 with its calculated powder diffractogram. Radiation: a wavelength of 1.5418 Å. Structure: a PBE-relaxed structure.
Peak positions follow from Bragg's law for the DFT cell and can differ from measured ones.

Most intense lines, 2θ from 10° to 90°, low angle first:
5.268 Å, intensity 100, hkl 0 0 2
4.670 Å, intensity 57, hkl 0 2 1
2.912 Å, intensity 77, hkl 0 2 3
2.634 Å, intensity 45, hkl 0 0 4
2.626 Å, intensity 96, hkl 1 1 2
2.605 Å, intensity 40, hkl 0 4 0
2.284 Å, intensity 61, hkl 1 3 1
2.138 Å, intensity 61, hkl 1 3 2

Atomic structure:
abc: 3.1652 10.4208 10.5358
angles: 90.00 90.00 90.00
Space group Cmcm (No. 63)
Inequivalent atoms, fractional coordinates:
Pa  0.0000  0.1103  0.2500 x4
Ti  0.0000  0.3711  0.0504 x8
Ni  0.0000  0.1574  0.7500 x4
N  0.0000  0.0000  0.0000 x4
N  0.0000  0.2763  0.6125 x8
N  0.0000  0.4538  0.2500 x4


No. 10
This entry pairs a crystal structure of Sm4PdRu with its calculated powder diffractogram. Radiation: a wavelength of 1.5418 Å. Structure: a PBE-relaxed structure.
Peak positions follow from Bragg's law for the DFT cell and can differ from measured ones.

Most intense lines, 2θ from 10° to 90°, low angle first:
2.823 Å, intensity 100, hkl 2 1 1
2.728 Å, intensity 27, hkl 1 1 2
2.475 Å, intensity 22, hkl 2 2 0
2.389 Å, intensity 66, hkl 2 0 2
2.214 Å, intensity 30, hkl 3 1 0
1.789 Å, intensity 26, hkl 2 1 3
1.643 Å, intensity 33, hkl 4 1 1
1.473 Å, intensity 23, hkl 3 3 2

Atomic structure:
abc: 6.9998 6.9998 6.5382
angles: 90.00 90.00 90.00
Space group P4/mcc (No. 124)
Inequivalent atoms, fractional coordinates:
Sm  0.1735  0.3110  0.0000 x8
Pd  0.5000  0.5000  0.2500 x2
Ru  0.0000  0.0000  0.2500 x2


No. 11
This entry pairs a crystal structure of BaNaPrO3 with its calculated powder diffractogram. Radiation: a wavelength of 1.5418 Å. Structure: a PBE-relaxed structure.
Peak positions follow from Bragg's law for the DFT cell and can differ from measured ones.

Most intense lines, 2θ from 10° to 90°, low angle first:
4.628 Å, intensity 41, hkl 0 0 2
3.310 Å, intensity 35, hkl 2 0 -1
3.284 Å, intensity 41, hkl 1 1 0
3.086 Å, intensity 35, hkl 0 0 3
2.999 Å, intensity 62, hkl 1 1 1
2.904 Å, intensity 35, hkl 2 0 1
2.820 Å, intensity 100, hkl 1 1 -2
1.923 Å, intensity 30, hkl 3 1 -1

Atomic structure:
abc: 6.6934 3.7960 9.4616
angles: 90.00 101.94 90.00
Space group P2_1/m (No. 11)
Inequivalent atoms, fractional coordinates:
Ba  0.1354  0.2500  0.1896 x2
Na  0.1791  0.7500  0.5483 x2
Pr  0.3722  0.2500  0.8360 x2
O  0.0431  0.2500  0.6801 x2
O  0.2752  0.7500  0.9985 x2
O  0.4746  0.7500  0.7234 x2


No. 12
This entry pairs a crystal structure of Pr3AgGe with its calculated powder diffractogram. Radiation: a wavelength of 1.5418 Å. Structure: a PBE-relaxed structure.
Peak positions follow from Bragg's law for the DFT cell and can differ from measured ones.

Most intense lines, 2θ from 10° to 90°, low angle first:
3.105 Å, intensity 45, hkl 1 0 2
3.019 Å, intensity 100, hkl -1 2 1
2.842 Å, intensity 41, hkl 0 2 -2
2.510 Å, intensity 29, hkl 1 0 -3
2.496 Å, intensity 28, hkl 1 -1 3
2.366 Å, intensity 23, hkl 1 -3 0
2.344 Å, intensity 25, hkl 0 2 3
2.163 Å, intensity 32, hkl 2 -1 0

Atomic structure:
abc: 4.3260 7.4056 9.4190
angles: 90.25 90.29 106.65
Space group P-1 (No. 2)
Inequivalent atoms, fractional coordinates:
Pr  0.0455  0.0966  0.3369 x2
Pr  0.2444  0.4885  0.6767 x2
Pr  0.4034  0.8181  0.1101 x2
Ag  0.1952  0.3823  0.0734 x2
Ge  0.3917  0.7852  0.4309 x2